# PmGaFe2O6
Theoretical powder X-ray diffraction pattern, a wavelength of 1.5418 Å. Input: the GGA+U geometry in Alexandria.
Neutral-atom scattering factors, no anomalous dispersion.

Structure:
```
data_PmGaFe2O6
_chemical_formula_sum 'Pm1 Ga1 Fe2 O6'
_cell_length_a 5.262
_cell_length_b 5.272
_cell_length_c 5.520
_cell_angle_alpha 118.51
_cell_angle_beta 90.03
_cell_angle_gamma 119.66
_space_group_name_H-M_alt 'P 1'
_space_group_IT_number 1
_space_group_name_Hall 'P 1'
loop_
_atom_site_label
_atom_site_type_symbol
_atom_site_fract_x
_atom_site_fract_y
_atom_site_fract_z
_atom_site_occupancy
Pm1 Pm 0.000 0.000 0.000 1
Ga1 Ga 0.529 0.059 0.593 1
Fe1 Fe 0.226 0.452 0.679 1
Fe2 Fe 0.739 0.479 0.219 1
O1 O 0.124 0.587 0.426 1
O2 O 0.391 0.342 0.898 1
O3 O 0.460 0.298 0.425 1
O4 O 0.554 0.950 0.900 1
O5 O 0.833 0.959 0.424 1
O6 O 0.948 0.507 0.901 1
```

Principal peaks in the range 2θ = 5–70°, by angle:
hkl	Position (°2θ)	d/Å	intensity
0 1 -1	20.4	4.345	19.0
1 -1 1	23.4	3.805	30.8
1 0 1	32.4	2.764	51.1
0 1 -2	32.5	2.754	100.0
1 1 -1	33.9	2.647	46.3
2 -1 0	34.0	2.633	90.8
2 -1 1	39.4	2.289	18.0
0 2 0	47.5	1.914	22.7
2 0 -2	47.8	1.902	44.3
1 -3 3	59.9	1.544	18.6

=====

# Pr2GaFeO6
Theoretical powder X-ray diffraction pattern, a wavelength of 1.5418 Å. Input: the GGA+U geometry in Alexandria.
Neutral-atom scattering factors, no anomalous dispersion.

Structure:
```
data_Pr2GaFeO6
_chemical_formula_sum 'Pr4 Ga2 Fe2 O12'
_cell_length_a 5.477
_cell_length_b 5.581
_cell_length_c 9.566
_cell_angle_alpha 90.00
_cell_angle_beta 123.95
_cell_angle_gamma 90.00
_space_group_name_H-M_alt 'P 1 21/c 1'
_space_group_IT_number 14
_space_group_name_Hall '-P 2ybc'
loop_
_atom_site_label
_atom_site_type_symbol
_atom_site_fract_x
_atom_site_fract_y
_atom_site_fract_z
_atom_site_occupancy
Pr1 Pr 0.236 0.047 0.248 1
Ga1 Ga 0.500 0.000 0.000 1
Fe1 Fe 0.000 0.000 0.500 1
O1 O 0.164 0.213 0.955 1
O2 O 0.239 0.707 0.954 1
O3 O 0.341 0.018 0.759 1
```

Principal peaks in the range 2θ = 5–70°, by angle:
hkl	Position (°2θ)	d/Å	intensity
1 1 -1	22.8	3.909	20.2
1 1 1	31.9	2.801	100.0
0 2 0	32.1	2.791	41.6
1 1 -3	32.3	2.768	94.5
2 0 -2	32.7	2.738	46.3
0 0 4	45.7	1.984	29.2
2 2 -2	46.5	1.954	45.8
0 2 4	57.0	1.617	18.9
3 1 -1	57.6	1.599	21.3
3 1 -5	58.4	1.580	22.7

=====

# GaFePtO4
Theoretical powder X-ray diffraction pattern, a wavelength of 1.5418 Å. Input: the GGA+U geometry in Alexandria.
Neutral-atom scattering factors, no anomalous dispersion.

Structure:
```
data_GaFePtO4
_chemical_formula_sum 'Ga4 Fe4 Pt4 O16'
_cell_length_a 5.947
_cell_length_b 6.168
_cell_length_c 9.168
_cell_angle_alpha 90.00
_cell_angle_beta 90.00
_cell_angle_gamma 90.00
_space_group_name_H-M_alt 'I m m a'
_space_group_IT_number 74
_space_group_name_Hall '-I 2b 2'
loop_
_atom_site_label
_atom_site_type_symbol
_atom_site_fract_x
_atom_site_fract_y
_atom_site_fract_z
_atom_site_occupancy
Ga1 Ga 0.250 0.250 0.250 1
Fe1 Fe 0.000 0.250 0.631 1
Pt1 Pt 0.000 0.000 0.000 1
O1 O 0.000 0.032 0.259 1
O2 O 0.229 0.250 0.026 1
```

Principal peaks in the range 2θ = 5–70°, by angle:
hkl	Position (°2θ)	d/Å	intensity
1 0 1	17.8	4.990	100.0
0 0 2	19.4	4.584	21.7
1 0 3	33.0	2.718	58.9
1 2 1	34.2	2.623	89.0
2 1 1	34.9	2.571	22.1
0 2 2	35.1	2.559	35.0
2 0 2	36.0	2.495	29.7
2 2 0	42.2	2.141	34.6
3 2 1	56.1	1.641	24.6
2 2 4	59.0	1.564	48.4